[1]
Diffraction record for PmIn9Rh2. The powder X-ray diffraction pattern is computed, not measured: it uses the PBE geometry in Alexandria and copper Kα.

Structural model:
```
data_PmIn9Rh2
_cell_length_a 12.3475
_cell_length_b 12.3475
_cell_length_c 7.2892
_cell_angle_alpha 90.00
_cell_angle_beta 90.00
_cell_angle_gamma 90.00
_symmetry_space_group_name_H-M 'I 41/a m d'
_symmetry_Int_Tables_number 141
loop_
_symmetry_equiv_pos_as_xyz
'x,y,z'
'-x,-y,-z'
'-y+1/4,x+3/4,z+1/4'
'y+1/4,-x+3/4,-z+1/4'
'-x+1/2,-y,z+1/2'
'x+1/2,y,-z+1/2'
'y+1/4,-x+1/4,z+3/4'
'-y+1/4,x+1/4,-z+3/4'
'x,-y,-z'
'-x,y,z'
'-y+1/4,-x+1/4,-z+3/4'
'y+1/4,x+1/4,z+3/4'
'-x+1/2,y,-z+1/2'
'x+1/2,-y,z+1/2'
'y+1/4,x+3/4,-z+1/4'
'-y+1/4,-x+3/4,z+1/4'
'x+1/2,y+1/2,z+1/2'
'-x+1/2,-y+1/2,-z+1/2'
'-y+3/4,x+1/4,z+3/4'
'y+3/4,-x+1/4,-z+3/4'
'-x,-y+1/2,z'
'x,y+1/2,-z'
'y+3/4,-x+3/4,z+1/4'
'-y+3/4,x+3/4,-z+1/4'
'x+1/2,-y+1/2,-z+1/2'
'-x+1/2,y+1/2,z+1/2'
'-y+3/4,-x+3/4,-z+1/4'
'y+3/4,x+3/4,z+1/4'
'-x,y+1/2,-z'
'x,-y+1/2,z'
'y+3/4,x+1/4,-z+3/4'
'-y+3/4,-x+1/4,z+3/4'
loop_
_atom_site_label
_atom_site_fract_x
_atom_site_fract_y
_atom_site_fract_z
Pm1 0.0000 0.2500 0.3750
In1 0.0000 0.2500 0.8750
In2 0.1200 0.0659 0.6723
Rh1 0.0000 0.0000 0.0000
```

Most intense lines, 10° ≤ 2θ ≤ 90°, most intense first:
| d (Å) | intensity | index |
| --- | --- | --- |
| 2.664 | 100.0 | 3 1 2 |
| 2.339 | 70.5 | 5 0 1 |
| 2.761 | 45.9 | 4 2 0 |
| 3.100 | 23.0 | 3 2 1 |
| 1.381 | 22.8 | 8 4 0 |
| 2.201 | 21.8 | 4 2 2 |
| 2.384 | 21.6 | 1 0 3 |
| 1.575 | 19.4 | 5 5 2 |
| 2.185 | 18.0 | 4 4 0 |
| 2.224 | 14.5 | 2 1 3 |

***

[2]
Diffraction record for Pm5In2Rh2. The powder X-ray diffraction pattern is computed, not measured: it uses the PBE geometry in Alexandria and copper Kα.

Structural model:
```
data_Pm5In2Rh2
_cell_length_a 16.0469
_cell_length_b 7.2207
_cell_length_c 8.6183
_cell_angle_alpha 90.00
_cell_angle_beta 90.00
_cell_angle_gamma 90.00
_symmetry_space_group_name_H-M 'C m c e'
_symmetry_Int_Tables_number 64
_symmetry_space_group_name_Hall '-C 2ac 2'
loop_
_atom_site_label
_atom_site_fract_x
_atom_site_fract_y
_atom_site_fract_z
Pm1 0.0000 0.0000 0.0000
Pm2 0.1203 0.1591 0.3187
In1 0.2148 0.0000 0.0000
Rh1 0.0000 0.1320 0.6217
```

Most intense lines, 10° ≤ 2θ ≤ 90°, most intense first:
| d (Å) | intensity | index |
| --- | --- | --- |
| 2.562 | 100.0 | 4 2 1 |
| 2.936 | 85.9 | 4 0 2 |
| 2.633 | 72.7 | 1 1 3 |
| 3.043 | 64.0 | 3 1 2 |
| 2.767 | 45.6 | 0 2 2 |
| 2.294 | 45.6 | 1 3 1 |
| 2.424 | 45.5 | 5 1 2 |
| 2.776 | 41.0 | 5 1 1 |
| 2.684 | 38.9 | 4 2 0 |
| 1.600 | 34.1 | 5 3 3 |